1.
Starting from a DFT-relaxed cell (GGA+U, Alexandria), the powder diffractogram of K4Ta3VO12 was calculated for Cu Kα (weighted mean of Kα1 and Kα2).
Peak positions follow from Bragg's law for the DFT cell and can differ from measured ones.

Main lines, by angle (10° ≤ 2θ ≤ 80°):
2θ 15.71, rel. 17, hkl 1 1 0
2θ 22.29, rel. 62, hkl 2 0 0
2θ 27.38, rel. 10, hkl 2 1 1
2θ 31.72, rel. 100, hkl 2 2 0
2θ 35.59, rel. 5, hkl 3 1 0
2θ 42.39, rel. 7, hkl 3 2 1
2θ 45.48, rel. 34, hkl 4 0 0
2θ 51.21, rel. 27, hkl 4 2 0
2θ 56.51, rel. 39, hkl 4 2 2
2θ 66.27, rel. 20, hkl 4 4 0
2θ 70.87, rel. 13, hkl 6 0 0
2θ 75.35, rel. 17, hkl 6 2 0

Cell and atoms:
```
data_K4Ta3VO12
_cell_length_a 7.9779
_cell_length_b 7.9779
_cell_length_c 7.9779
_cell_angle_alpha 90.00
_cell_angle_beta 90.00
_cell_angle_gamma 90.00
_space_group_name_H-M_alt 'I m -3 m'
_space_group_IT_number 229
_space_group_name_Hall '-I 4 2 3'
loop_
_atom_site_label
_atom_site_fract_x
_atom_site_fract_y
_atom_site_fract_z
_atom_site_occupancy
K1 0.2500 0.2500 0.2500 1
Ta1 0.0000 0.0000 0.5000 1
V1 0.0000 0.0000 0.0000 1
O1 0.0000 0.0000 0.2445 1
O2 0.0000 0.2500 0.5000 1
```

2.
Starting from a DFT-relaxed cell (GGA+U, Alexandria), the powder diffractogram of KTaW2O9 was calculated for Cu Kα (weighted mean of Kα1 and Kα2).
Peak positions follow from Bragg's law for the DFT cell and can differ from measured ones.

Main lines, by angle (10° ≤ 2θ ≤ 80°):
2θ 13.56, rel. 44, hkl 0 1 -1
2θ 22.72, rel. 47, hkl 1 0 0
2θ 23.60, rel. 13, hkl 0 3 3
2θ 26.55, rel. 27, hkl 1 -1 1
2θ 27.31, rel. 100, hkl 0 4 2
2θ 32.99, rel. 15, hkl 1 3 3
2θ 35.82, rel. 50, hkl 1 2 4
2θ 48.28, rel. 25, hkl 0 6 0
2θ 53.99, rel. 23, hkl 1 6 6
2θ 54.68, rel. 20, hkl 2 -2 2
2θ 56.36, rel. 15, hkl 0 4 -4
2θ 61.55, rel. 15, hkl 1 4 8

Cell and atoms:
```
data_KTaW2O9
_cell_length_a 3.9138
_cell_length_b 13.0553
_cell_length_c 13.0564
_cell_angle_alpha 60.07
_cell_angle_beta 89.95
_cell_angle_gamma 89.97
_space_group_name_H-M_alt 'P 1'
_space_group_IT_number 1
loop_
_space_group_symop_operation_xyz
'x,y,z'
loop_
_atom_site_label
_atom_site_fract_x
_atom_site_fract_y
_atom_site_fract_z
_atom_site_occupancy
K1 0.0000 0.0000 0.0000 1
K2 0.0034 0.3772 0.3158 1
K3 0.1840 0.6933 0.6204 1
Ta1 0.5202 0.8555 0.2855 1
Ta2 0.5212 0.5255 0.4507 1
Ta3 0.5311 0.8568 0.7841 1
W1 0.4722 0.1896 0.1174 1
W2 0.4728 0.1902 0.6172 1
W3 0.4759 0.6896 0.1176 1
W4 0.5433 0.0246 0.4504 1
W5 0.5442 0.3557 0.7839 1
W6 0.5450 0.5249 0.9486 1
O1 0.9995 0.1896 0.6160 1
O2 0.0014 0.6856 0.1151 1
O3 0.0087 0.8634 0.2702 1
O4 0.0102 0.5186 0.4460 1
O5 0.0152 0.0317 0.4437 1
O6 0.0152 0.8531 0.7771 1
O7 0.0156 0.3530 0.7848 1
O8 0.0175 0.5208 0.9481 1
O9 0.5043 0.0301 0.1522 1
O10 0.5048 0.8118 0.1546 1
O11 0.5062 0.1477 0.4922 1
O12 0.5056 0.1488 0.2793 1
O13 0.5062 0.2347 0.9481 1
O14 0.5062 0.3516 0.4944 1
O15 0.5055 0.6912 0.4099 1
O16 0.5062 0.9073 0.4028 1
O17 0.5068 0.2342 0.7381 1
O18 0.5072 0.4763 0.6210 1
O19 0.5075 0.5654 0.2783 1
O20 0.5076 0.3573 0.0669 1
O21 0.5088 0.0260 0.7355 1
O22 0.5103 0.5660 0.0693 1
O23 0.5101 0.8083 0.9516 1
O24 0.5107 0.4771 0.8262 1
O25 0.5115 0.6840 0.8243 1
O26 0.5116 0.9035 0.6082 1
O27 0.9985 0.1929 0.1133 1
```

3.
Starting from a DFT-relaxed cell (GGA+U, Alexandria), the powder diffractogram of K2TaWO6 was calculated for Cu Kα (weighted mean of Kα1 and Kα2).
Peak positions follow from Bragg's law for the DFT cell and can differ from measured ones.

Main lines, by angle (10° ≤ 2θ ≤ 80°):
2θ 22.07, rel. 100, hkl 2 0 0
2θ 31.24, rel. 73, hkl 1 1 1
2θ 31.57, rel. 71, hkl 3 1 -1
2θ 45.01, rel. 45, hkl 4 0 0
2θ 50.45, rel. 23, hkl 3 1 1
2θ 50.89, rel. 22, hkl 5 1 -1
2θ 55.60, rel. 14, hkl 2 0 2
2θ 55.81, rel. 28, hkl 4 2 0
2θ 56.42, rel. 14, hkl 6 0 -2
2θ 65.17, rel. 14, hkl 2 2 2
2θ 65.95, rel. 9, hkl 6 2 -2
2θ 74.22, rel. 12, hkl 5 1 1

Cell and atoms:
```
data_K2TaWO6
_cell_length_a 9.7802
_cell_length_b 5.7256
_cell_length_c 5.6742
_cell_angle_alpha 90.00
_cell_angle_beta 124.61
_cell_angle_gamma 90.00
_space_group_name_H-M_alt 'C 1 2/m 1'
_space_group_IT_number 12
loop_
_space_group_symop_operation_xyz
'x,y,z'
'-x,-y,-z'
'-x,y,-z'
'x,-y,z'
'x+1/2,y+1/2,z'
'-x+1/2,-y+1/2,-z'
'-x+1/2,y+1/2,-z'
'x+1/2,-y+1/2,z'
loop_
_atom_site_label
_atom_site_fract_x
_atom_site_fract_y
_atom_site_fract_z
_atom_site_occupancy
K1 0.2490 0.0000 0.2512 1
Ta1 0.0000 0.5000 0.0000 1
W1 0.0000 0.0000 0.5000 1
O1 0.0013 0.2516 0.7506 1
O2 0.2497 0.0000 0.7525 1
```